Computed powder diffractogram
Compound: Ho7SnRu4
Radiation: Cu Kα (λ = 1.5418 Å)
Structure: a cell relaxed with GGA-PBE

Peak list (10 most intense, 5° ≤ 2θ ≤ 70°, low angle first)
- 3.230 Å, 2θ = 27.6°, intensity 22
- 2.920 Å, 2θ = 30.6°, intensity 20
- 2.745 Å, 2θ = 32.6°, intensity 100
- 2.716 Å, 2θ = 33.0°, intensity 27
- 2.445 Å, 2θ = 36.8°, intensity 49
- 2.328 Å, 2θ = 38.7°, intensity 35
- 2.309 Å, 2θ = 39.0°, intensity 13
- 2.288 Å, 2θ = 39.4°, intensity 18
- 2.092 Å, 2θ = 43.2°, intensity 13
- 2.001 Å, 2θ = 45.3°, intensity 13

Atomic structure:
```
Ho7SnRu4
1.0
6.7320 -2.7462 0.0000
6.7320 2.7462 0.0000
-5.6455 0.0000 7.7694
Ho Sn Ru
7 1 4
Cartesian
0.0000 0.0000 0.0000 Ho
-1.1327 0.0000 4.9187 Ho
3.1822 0.0000 0.9478 Ho
2.1872 0.0000 4.8633 Ho
5.6314 0.0000 2.9060 Ho
4.6364 0.0000 6.8216 Ho
8.9513 0.0000 2.8507 Ho
6.7320 0.0000 0.0000 Sn
-3.5008 0.0000 6.0329 Ru
0.6923 0.0000 2.7252 Ru
7.1262 0.0000 5.0442 Ru
11.3194 0.0000 1.7365 Ru
```